1.
Structure and theoretical XRD peak list of Al5Ga4 (a crystal structure in Alexandria, relaxed with GGA-PBE; Cu Ka).
No peak broadening, texture or thermal motion is included.

Peak list (8 most intense, 5 to 70 degrees two-theta, in order of rising 2θ)
13.0°, rel. 18
22.3°, rel. 18
32.3°, rel. 24
36.6°, rel. 36
37.9°, rel. 100
39.2°, rel. 35
39.8°, rel. 43
46.1°, rel. 40

Crystal structure
abc: 8.0269 8.0269 2.7915
angles: 96.35 96.35 62.71
Positions (direct):
Al 0.0000 0.0000 0.0000
Al 0.3343 0.6657 0.0000
Al 0.3396 0.3396 0.4054
Al 0.6604 0.6604 0.5946
Al 0.6657 0.3343 0.0000
Ga 0.0036 0.6716 0.4435
Ga 0.3284 0.9964 0.5565
Ga 0.6716 0.0036 0.4435
Ga 0.9964 0.3284 0.5565

2.
Structure and theoretical XRD peak list of K4Pu3UO12 (a crystal structure in Alexandria, relaxed with GGA-PBE; Cu Ka).
No peak broadening, texture or thermal motion is included.

Peak list (8 most intense, 5 to 70 degrees two-theta, in order of rising 2θ)
20.7°, rel. 76
29.4°, rel. 100
42.0°, rel. 30
47.3°, rel. 37
52.1°, rel. 42
60.9°, rel. 19
65.1°, rel. 18
69.1°, rel. 18

Crystal structure
abc: 7.4471 7.4471 7.4471
angles: 109.47 109.47 109.47
Positions (direct):
K 0.0000 0.0000 0.5000
K 0.0000 0.5000 0.0000
K 0.5000 0.0000 0.0000
K 0.5000 0.5000 0.5000
Pu 0.0000 0.5000 0.5000
Pu 0.5000 0.0000 0.5000
Pu 0.5000 0.5000 0.0000
U 0.0000 0.0000 0.0000
O 0.0000 0.2435 0.2435
O 0.0000 0.7565 0.7565
O 0.2435 0.0000 0.2435
O 0.2435 0.2435 0.0000
O 0.2500 0.5000 0.7500
O 0.2500 0.7500 0.5000
O 0.5000 0.2500 0.7500
O 0.5000 0.7500 0.2500
O 0.7500 0.2500 0.5000
O 0.7500 0.5000 0.2500
O 0.7565 0.0000 0.7565
O 0.7565 0.7565 0.0000

3.
Structure and theoretical XRD peak list of Er2TiGa2Rh5 (a crystal structure in Alexandria, relaxed with GGA-PBE; Cu Ka).
No peak broadening, texture or thermal motion is included.

Peak list (8 most intense, 5 to 70 degrees two-theta, in order of rising 2θ)
32.9°, rel. 32
37.6°, rel. 60
38.8°, rel. 31
38.9°, rel. 100
42.1°, rel. 33
45.2°, rel. 18
52.9°, rel. 21
66.7°, rel. 22

Crystal structure
abc: 9.8570 9.8570 3.4618
angles: 90.00 90.00 90.00
Positions (direct):
Er 0.1717 0.3283 0.0000
Er 0.3283 0.8283 0.0000
Er 0.6717 0.1717 0.0000
Er 0.8283 0.6717 0.0000
Ti 0.0000 0.0000 0.0000
Ti 0.5000 0.5000 0.0000
Ga 0.1270 0.6270 0.0000
Ga 0.3730 0.1270 0.0000
Ga 0.6270 0.8730 0.0000
Ga 0.8730 0.3730 0.0000
Rh 0.0000 0.5000 0.5000
Rh 0.0657 0.7998 0.5000
Rh 0.2002 0.0657 0.5000
Rh 0.2998 0.5657 0.5000
Rh 0.4343 0.2998 0.5000
Rh 0.5000 0.0000 0.5000
Rh 0.5657 0.7002 0.5000
Rh 0.7002 0.4343 0.5000
Rh 0.7998 0.9343 0.5000
Rh 0.9343 0.2002 0.5000

4.
Structure and theoretical XRD peak list of Tl2V3Cl9 (a crystal structure in Alexandria, relaxed with GGA-PBE; Cu Ka).
No peak broadening, texture or thermal motion is included.

Peak list (8 most intense, 5 to 70 degrees two-theta, in order of rising 2θ)
17.0°, rel. 49
18.3°, rel. 93
20.5°, rel. 65
24.2°, rel. 100
25.2°, rel. 45
30.1°, rel. 43
33.0°, rel. 67
38.0°, rel. 40

Crystal structure
abc: 9.9650 9.9650 9.6861
angles: 103.54 103.54 116.27
Positions (direct):
Tl 0.0610 0.7399 0.6913
Tl 0.2601 0.9390 0.3087
Tl 0.7399 0.0610 0.6913
Tl 0.9390 0.2601 0.3087
V 0.2503 0.4475 0.8377
V 0.3686 0.3686 0.1472
V 0.4475 0.2503 0.8377
V 0.5525 0.7497 0.1623
V 0.6314 0.6314 0.8528
V 0.7497 0.5525 0.1623
Cl 0.0029 0.6081 0.3315
Cl 0.1160 0.3169 0.9838
Cl 0.1940 0.1940 0.6753
Cl 0.2380 0.2380 0.2916
Cl 0.3000 0.7000 0.0000
Cl 0.3169 0.1160 0.9838
Cl 0.3803 0.5789 0.6925
Cl 0.3919 0.9971 0.6685
Cl 0.4211 0.6197 0.3075
Cl 0.5789 0.3803 0.6925
Cl 0.6081 0.0029 0.3315
Cl 0.6197 0.4211 0.3075
Cl 0.6831 0.8840 0.0162
Cl 0.7000 0.3000 0.0000
Cl 0.7620 0.7620 0.7084
Cl 0.8060 0.8060 0.3247
Cl 0.8840 0.6831 0.0162
Cl 0.9971 0.3919 0.6685

5.
Structure and theoretical XRD peak list of Ho2Al5Cu5 (a crystal structure in Alexandria, relaxed with GGA-PBE; Cu Ka).
No peak broadening, texture or thermal motion is included.

Peak list (8 most intense, 5 to 70 degrees two-theta, in order of rising 2θ)
21.6°, rel. 42
29.3°, rel. 41
34.0°, rel. 31
34.4°, rel. 43
40.7°, rel. 40
41.0°, rel. 100
44.0°, rel. 27
65.7°, rel. 24

Crystal structure
abc: 4.1182 5.2695 8.9870
angles: 90.00 90.00 90.00
Positions (direct):
Ho 0.0000 0.0000 0.0000
Ho 0.0000 0.5000 0.5000
Al 0.5000 0.0000 0.5000
Al 0.5000 0.2507 0.2387
Al 0.5000 0.2507 0.7613
Al 0.5000 0.7493 0.2387
Al 0.5000 0.7493 0.7613
Cu 0.0000 0.0000 0.3333
Cu 0.0000 0.0000 0.6667
Cu 0.0000 0.5000 0.1659
Cu 0.0000 0.5000 0.8341
Cu 0.5000 0.5000 0.0000

6.
Structure and theoretical XRD peak list of Cd3Ga3Ag5 (a crystal structure in Alexandria, relaxed with GGA-PBE; Cu Ka).
No peak broadening, texture or thermal motion is included.

Peak list (8 most intense, 5 to 70 degrees two-theta, in order of rising 2θ)
12.7°, rel. 47
18.1°, rel. 44
31.5°, rel. 93
34.0°, rel. 26
36.6°, rel. 48
38.8°, rel. 50
43.1°, rel. 100
54.4°, rel. 25

Crystal structure
abc: 8.0490 8.0490 4.9106
angles: 90.00 90.00 120.00
Positions (direct):
Cd 0.0000 0.5103 0.0000
Cd 0.4897 0.4897 0.0000
Cd 0.5103 0.0000 0.0000
Ga 0.0000 0.3458 0.5000
Ga 0.3458 0.0000 0.5000
Ga 0.6542 0.6542 0.5000
Ag 0.0000 0.7109 0.5000
Ag 0.2891 0.2891 0.5000
Ag 0.3333 0.6667 0.5000
Ag 0.6667 0.3333 0.5000
Ag 0.7109 0.0000 0.5000

7.
Structure and theoretical XRD peak list of CeNd5N5 (a crystal structure in Alexandria, relaxed with GGA-PBE; Cu Ka).
No peak broadening, texture or thermal motion is included.

Peak list (8 most intense, 5 to 70 degrees two-theta, in order of rising 2θ)
30.1°, rel. 100
34.8°, rel. 47
35.0°, rel. 23
50.0°, rel. 16
50.2°, rel. 32
59.5°, rel. 30
59.7°, rel. 15
62.5°, rel. 16

Crystal structure
abc: 6.3098 6.3098 7.2761
angles: 106.99 106.99 48.25
Positions (direct):
Ce 0.0000 0.0000 0.0000
Nd 0.0000 0.0000 0.5000
Nd 0.3257 0.3257 0.6729
Nd 0.3284 0.3284 0.1556
Nd 0.6716 0.6716 0.8444
Nd 0.6743 0.6743 0.3271
N 0.1604 0.1604 0.3243
N 0.1653 0.1653 0.8362
N 0.5000 0.5000 0.0000
N 0.8347 0.8347 0.1638
N 0.8396 0.8396 0.6757

8.
Structure and theoretical XRD peak list of Li4PtAu (a crystal structure in Alexandria, relaxed with GGA-PBE; Cu Ka).
No peak broadening, texture or thermal motion is included.

Peak list (8 most intense, 5 to 70 degrees two-theta, in order of rising 2θ)
24.0°, rel. 100
32.9°, rel. 14
41.1°, rel. 56
42.2°, rel. 27
49.1°, rel. 15
54.5°, rel. 21
60.4°, rel. 18
66.7°, rel. 8

Crystal structure
abc: 2.7244 4.2784 7.4224
angles: 90.00 90.00 90.00
Positions (direct):
Li 0.0000 0.0000 0.1607
Li 0.0000 0.0000 0.8393
Li 0.0000 0.5000 0.3268
Li 0.0000 0.5000 0.6732
Pt 0.5000 0.5000 0.0000
Au 0.5000 0.0000 0.5000

9.
Structure and theoretical XRD peak list of Ti3SiH3 (a crystal structure in Alexandria, relaxed with GGA-PBE; Cu Ka).
No peak broadening, texture or thermal motion is included.

Peak list (8 most intense, 5 to 70 degrees two-theta, in order of rising 2θ)
30.9°, rel. 17
32.4°, rel. 8
36.1°, rel. 100
45.4°, rel. 34
47.0°, rel. 6
57.9°, rel. 21
58.3°, rel. 14
67.0°, rel. 8

Crystal structure
abc: 6.6138 6.6138 6.6138
angles: 49.31 49.31 49.31
Positions (direct):
Ti 0.0811 0.4058 0.7308
Ti 0.2692 0.9189 0.5942
Ti 0.4058 0.7308 0.0811
Ti 0.5942 0.2692 0.9189
Ti 0.7308 0.0811 0.4058
Ti 0.9189 0.5942 0.2692
Si 0.1665 0.1665 0.1665
Si 0.8335 0.8335 0.8335
H 0.0305 0.7111 0.3694
H 0.2889 0.6306 0.9695
H 0.3694 0.0305 0.7111
H 0.6306 0.9695 0.2889
H 0.7111 0.3694 0.0305
H 0.9695 0.2889 0.6306

10.
Structure and theoretical XRD peak list of Ge3I5Br (a crystal structure in Alexandria, relaxed with GGA-PBE; Cu Ka).
No peak broadening, texture or thermal motion is included.

Peak list (8 most intense, 5 to 70 degrees two-theta, in order of rising 2θ)
17.8°, rel. 37
25.0°, rel. 36
26.9°, rel. 100
27.2°, rel. 96
27.7°, rel. 35
34.6°, rel. 43
35.1°, rel. 63
43.3°, rel. 80

Crystal structure
abc: 15.7985 15.7985 4.3624
angles: 90.00 90.00 142.23
Positions (direct):
Ge 0.0000 0.0000 0.0000
Ge 0.1600 0.8400 0.5000
Ge 0.3321 0.6679 0.0000
Ge 0.5000 0.5000 0.5000
Ge 0.6679 0.3321 0.0000
Ge 0.8400 0.1600 0.5000
I 0.1310 0.4642 0.5000
I 0.2023 0.2023 0.5000
I 0.2289 0.7711 0.0000
I 0.4317 0.5683 0.0000
I 0.4642 0.1310 0.5000
I 0.5358 0.8690 0.5000
I 0.5683 0.4317 0.0000
I 0.7711 0.2289 0.0000
I 0.7977 0.7977 0.5000
I 0.8690 0.5358 0.5000
Br 0.0970 0.9030 0.0000
Br 0.9030 0.0970 0.0000

11.
Structure and theoretical XRD peak list of Sr4Be3Ge5 (a crystal structure in Alexandria, relaxed with GGA-PBE; Cu Ka).
No peak broadening, texture or thermal motion is included.

Peak list (8 most intense, 5 to 70 degrees two-theta, in order of rising 2θ)
24.6°, rel. 16
31.4°, rel. 100
39.0°, rel. 15
43.4°, rel. 34
46.7°, rel. 5
54.5°, rel. 20
59.7°, rel. 25
65.9°, rel. 10

Crystal structure
abc: 4.1727 4.1727 18.4892
angles: 90.00 90.00 120.00
Positions (direct):
Sr 0.0000 0.0000 0.1235
Sr 0.0000 0.0000 0.3670
Sr 0.0000 0.0000 0.6330
Sr 0.0000 0.0000 0.8765
Be 0.6667 0.3333 0.0000
Be 0.6667 0.3333 0.2489
Be 0.6667 0.3333 0.7511
Ge 0.3333 0.6667 0.0000
Ge 0.3333 0.6667 0.2483
Ge 0.3333 0.6667 0.5000
Ge 0.3333 0.6667 0.7517
Ge 0.6667 0.3333 0.5000

12.
Structure and theoretical XRD peak list of KTeW2 (a crystal structure in Alexandria, relaxed with GGA-PBE; Cu Ka).
No peak broadening, texture or thermal motion is included.

Peak list (8 most intense, 5 to 70 degrees two-theta, in order of rising 2θ)
9.7°, rel. 100
19.4°, rel. 10
30.6°, rel. 18
33.7°, rel. 28
38.9°, rel. 25
40.4°, rel. 13
41.4°, rel. 28
44.1°, rel. 14

Crystal structure
abc: 3.2762 9.2851 9.2851
angles: 20.62 90.00 90.00
Positions (direct):
K 0.0000 0.0000 0.0000
Te 0.5000 0.3503 0.3503
W 0.0000 0.2237 0.2237
W 0.5000 0.6582 0.6582

13.
Structure and theoretical XRD peak list of Tl2BrN2 (a crystal structure in Alexandria, relaxed with GGA-PBE; Cu Ka).
No peak broadening, texture or thermal motion is included.

Peak list (8 most intense, 5 to 70 degrees two-theta, in order of rising 2θ)
7.1°, rel. 100
21.3°, rel. 20
27.5°, rel. 19
27.8°, rel. 33
29.8°, rel. 24
30.6°, rel. 33
34.1°, rel. 20
47.1°, rel. 18

Crystal structure
abc: 3.8601 3.8601 12.5111
angles: 91.86 91.86 60.00
Positions (direct):
Tl 0.1810 0.1810 0.1869
Tl 0.8190 0.8190 0.8131
Br 0.5000 0.5000 0.0000
N 0.0199 0.0199 0.4570
N 0.9801 0.9801 0.5430